(1)
Calculated powder diffraction line list
Compound: Y3Tm4Ru4
Radiation: Cu Ka
Structure: the GGA-PBE geometry in Alexandria

The 8 most intense peaks (10° ≤ 2θ ≤ 80°), in order of rising 2θ:
2θ/deg, I_rel
30.31, 36
32.90, 100
34.72, 70
35.34, 66
37.87, 30
39.38, 60
41.42, 37
63.14, 28

Crystal structure
Cell lengths 9.329, 9.329, 9.329 Å; angles 158.16, 123.35, 61.45 degrees
Atoms (fractional coordinates):
1 Y 0.000 0.000 0.000
2 Y 0.401 0.901 0.500
3 Y 0.599 0.099 0.500
4 Tm 0.025 0.335 0.691
5 Tm 0.356 0.665 0.691
6 Tm 0.644 0.335 0.309
7 Tm 0.975 0.665 0.309
8 Ru 0.254 0.254 0.000
9 Ru 0.276 0.500 0.776
10 Ru 0.724 0.500 0.224
11 Ru 0.746 0.746 0.000

(2)
Calculated powder diffraction line list
Compound: YTm3Ru8
Radiation: Cu Ka
Structure: the GGA-PBE geometry in Alexandria

The 8 most intense peaks (10° ≤ 2θ ≤ 80°), in order of rising 2θ:
2θ/deg, I_rel
33.69, 27
33.82, 27
39.70, 34
39.83, 100
41.71, 29
64.51, 32
70.83, 17
71.14, 17

Crystal structure
Cell lengths 9.228, 9.228, 9.228 Å; angles 33.39, 33.39, 33.39 degrees
Atoms (fractional coordinates):
1 Y 0.000 0.000 0.000
2 Tm 0.375 0.375 0.375
3 Tm 0.500 0.500 0.500
4 Tm 0.875 0.875 0.875
5 Ru 0.187 0.187 0.187
6 Ru 0.437 0.437 0.936
7 Ru 0.437 0.936 0.437
8 Ru 0.439 0.937 0.937
9 Ru 0.687 0.687 0.687
10 Ru 0.936 0.437 0.437
11 Ru 0.937 0.439 0.937
12 Ru 0.937 0.937 0.439

(3)
Calculated powder diffraction line list
Compound: Tm4ZnRu2
Radiation: Cu Ka
Structure: the GGA-PBE geometry in Alexandria

The 8 most intense peaks (10° ≤ 2θ ≤ 80°), in order of rising 2θ:
2θ/deg, I_rel
29.62, 18
33.01, 100
33.39, 46
39.30, 36
39.41, 32
39.60, 21
54.52, 20
67.27, 16

Crystal structure
Cell lengths 7.404, 7.404, 7.404 Å; angles 109.12, 109.12, 110.18 degrees
Atoms (fractional coordinates):
1 Tm 0.107 0.499 0.748
2 Tm 0.109 0.001 0.752
3 Tm 0.249 0.357 0.248
4 Tm 0.501 0.249 0.608
5 Tm 0.641 0.893 0.392
6 Tm 0.643 0.891 0.892
7 Tm 0.751 0.359 0.252
8 Tm 0.999 0.751 0.108
9 Zn 0.250 0.750 0.500
10 Zn 0.500 0.500 0.000
11 Ru 0.017 0.125 0.392
12 Ru 0.375 0.983 0.108
13 Ru 0.733 0.625 0.608
14 Ru 0.875 0.267 0.892

(4)
Calculated powder diffraction line list
Compound: Tm8ZnRu2
Radiation: Cu Ka
Structure: the GGA-PBE geometry in Alexandria

The 8 most intense peaks (10° ≤ 2θ ≤ 80°), in order of rising 2θ:
2θ/deg, I_rel
30.57, 53
32.12, 57
32.26, 84
32.95, 59
34.98, 58
37.17, 100
39.45, 22
63.88, 20

Crystal structure
Cell lengths 8.972, 8.972, 6.863 Å; angles 107.40, 107.40, 31.30 degrees
Atoms (fractional coordinates):
1 Tm 0.035 0.035 0.279
2 Tm 0.201 0.201 0.815
3 Tm 0.327 0.327 0.536
4 Tm 0.403 0.403 0.031
5 Tm 0.597 0.597 0.969
6 Tm 0.673 0.673 0.464
7 Tm 0.799 0.799 0.185
8 Tm 0.965 0.965 0.721
9 Zn 0.500 0.500 0.500
10 Ru 0.186 0.186 0.201
11 Ru 0.814 0.814 0.799

(5)
Calculated powder diffraction line list
Compound: Tm4ZnRu2
Radiation: Cu Ka
Structure: the GGA-PBE geometry in Alexandria

The 8 most intense peaks (10° ≤ 2θ ≤ 80°), in order of rising 2θ:
2θ/deg, I_rel
22.77, 5
26.35, 21
37.61, 100
44.42, 2
46.51, 6
54.24, 17
61.28, 9
67.88, 35

Crystal structure
Cell lengths 4.783, 4.783, 6.765 Å; angles 90.00, 90.00, 90.00 degrees
Atoms (fractional coordinates):
1 Tm 0.000 0.500 0.245
2 Tm 0.000 0.500 0.755
3 Tm 0.500 0.000 0.245
4 Tm 0.500 0.000 0.755
5 Zn 0.000 0.000 0.500
6 Ru 0.000 0.000 0.000
7 Ru 0.500 0.500 0.500

(6)
Calculated powder diffraction line list
Compound: TmZrRu2
Radiation: Cu Ka
Structure: the GGA-PBE geometry in Alexandria

The 8 most intense peaks (10° ≤ 2θ ≤ 80°), in order of rising 2θ:
2θ/deg, I_rel
23.26, 6
26.92, 2
38.44, 100
45.41, 3
55.49, 17
60.97, 1
69.53, 34
74.42, 1

Crystal structure
Cell lengths 6.624, 6.624, 6.624 Å; angles 90.00, 90.00, 90.00 degrees
Atoms (fractional coordinates):
1 Tm 0.000 0.000 0.000
2 Tm 0.000 0.500 0.500
3 Tm 0.500 0.000 0.500
4 Tm 0.500 0.500 0.000
5 Zr 0.000 0.000 0.500
6 Zr 0.000 0.500 0.000
7 Zr 0.500 0.000 0.000
8 Zr 0.500 0.500 0.500
9 Ru 0.250 0.250 0.250
10 Ru 0.250 0.250 0.750
11 Ru 0.250 0.750 0.250
12 Ru 0.250 0.750 0.750
13 Ru 0.750 0.250 0.250
14 Ru 0.750 0.250 0.750
15 Ru 0.750 0.750 0.250
16 Ru 0.750 0.750 0.750

(7)
Calculated powder diffraction line list
Compound: TmZr2Ru
Radiation: Cu Ka
Structure: the GGA-PBE geometry in Alexandria

The 8 most intense peaks (10° ≤ 2θ ≤ 80°), in order of rising 2θ:
2θ/deg, I_rel
32.08, 35
33.13, 53
33.32, 33
34.43, 100
35.95, 31
36.51, 47
60.06, 34
61.55, 35

Crystal structure
Cell lengths 6.745, 9.045, 5.945 Å; angles 90.00, 90.00, 90.00 degrees
Atoms (fractional coordinates):
1 Tm 0.029 0.250 0.134
2 Tm 0.471 0.750 0.634
3 Tm 0.529 0.250 0.366
4 Tm 0.971 0.750 0.866
5 Zr 0.179 0.058 0.660
6 Zr 0.179 0.442 0.660
7 Zr 0.321 0.558 0.160
8 Zr 0.321 0.942 0.160
9 Zr 0.679 0.058 0.840
10 Zr 0.679 0.442 0.840
11 Zr 0.821 0.558 0.340
12 Zr 0.821 0.942 0.340
13 Ru 0.113 0.750 0.400
14 Ru 0.387 0.250 0.900
15 Ru 0.613 0.750 0.100
16 Ru 0.887 0.250 0.600

(8)
Calculated powder diffraction line list
Compound: Tm3ZrRu3
Radiation: Cu Ka
Structure: the GGA-PBE geometry in Alexandria

The 8 most intense peaks (10° ≤ 2θ ≤ 80°), in order of rising 2θ:
2θ/deg, I_rel
13.30, 10
26.76, 12
36.92, 27
38.34, 100
39.46, 23
55.15, 16
67.47, 17
70.82, 15

Crystal structure
Cell lengths 6.676, 6.676, 6.620 Å; angles 90.00, 90.00, 93.66 degrees
Atoms (fractional coordinates):
1 Tm 0.245 0.755 0.000
2 Tm 0.250 0.250 0.000
3 Tm 0.272 0.272 0.500
4 Tm 0.728 0.728 0.500
5 Tm 0.750 0.750 0.000
6 Tm 0.755 0.245 0.000
7 Zr 0.224 0.776 0.500
8 Zr 0.776 0.224 0.500
9 Ru 0.000 0.000 0.256
10 Ru 0.000 0.000 0.744
11 Ru 0.000 0.500 0.259
12 Ru 0.000 0.500 0.741
13 Ru 0.500 0.000 0.259
14 Ru 0.500 0.000 0.741

(9)
Calculated powder diffraction line list
Compound: U5Ru2
Radiation: Cu Ka
Structure: the GGA-PBE geometry in Alexandria

The 8 most intense peaks (10° ≤ 2θ ≤ 80°), in order of rising 2θ:
2θ/deg, I_rel
37.05, 100
39.04, 60
39.17, 30
54.90, 22
55.04, 11
65.41, 18
69.40, 11
69.59, 17

Crystal structure
Cell lengths 4.599, 4.610, 7.608 Å; angles 72.44, 72.41, 60.22 degrees
Atoms (fractional coordinates):
1 U 0.000 0.000 0.000
2 U 0.146 0.146 0.562
3 U 0.292 0.291 0.124
4 U 0.708 0.709 0.876
5 U 0.854 0.854 0.438
6 Ru 0.433 0.433 0.700
7 Ru 0.567 0.567 0.300

(10)
Calculated powder diffraction line list
Compound: U5Ru3
Radiation: Cu Ka
Structure: the GGA-PBE geometry in Alexandria

The 8 most intense peaks (10° ≤ 2θ ≤ 80°), in order of rising 2θ:
2θ/deg, I_rel
33.31, 74
35.49, 88
36.87, 89
37.67, 79
38.74, 97
39.10, 100
39.29, 88
39.56, 64

Crystal structure
Cell lengths 7.698, 7.698, 7.967 Å; angles 96.31, 96.31, 137.04 degrees
Atoms (fractional coordinates):
1 U 0.011 0.828 0.642
2 U 0.172 0.989 0.358
3 U 0.218 0.218 0.981
4 U 0.224 0.562 0.787
5 U 0.438 0.776 0.213
6 U 0.562 0.224 0.787
7 U 0.776 0.438 0.213
8 U 0.782 0.782 0.019
9 U 0.828 0.011 0.642
10 U 0.989 0.172 0.358
11 Ru 0.191 0.809 0.000
12 Ru 0.277 0.723 0.500
13 Ru 0.460 0.460 0.677
14 Ru 0.540 0.540 0.323
15 Ru 0.723 0.277 0.500
16 Ru 0.809 0.191 0.000

(11)
Calculated powder diffraction line list
Compound: Y2URu2
Radiation: Cu Ka
Structure: the GGA-PBE geometry in Alexandria

The 8 most intense peaks (10° ≤ 2θ ≤ 80°), in order of rising 2θ:
2θ/deg, I_rel
17.43, 86
21.84, 48
32.00, 56
32.39, 100
34.89, 68
38.10, 58
38.28, 98
39.81, 45

Crystal structure
Cell lengths 5.836, 5.836, 7.753 Å; angles 98.61, 98.61, 61.07 degrees
Atoms (fractional coordinates):
1 Y 0.025 0.277 0.151
2 Y 0.277 0.025 0.651
3 Y 0.723 0.975 0.349
4 Y 0.975 0.723 0.849
5 U 0.359 0.641 0.250
6 U 0.641 0.359 0.750
7 Ru 0.248 0.505 0.486
8 Ru 0.495 0.752 0.014
9 Ru 0.505 0.248 0.986
10 Ru 0.752 0.495 0.514

(12)
Calculated powder diffraction line list
Compound: Y2URu4
Radiation: Cu Ka
Structure: the GGA-PBE geometry in Alexandria

The 8 most intense peaks (10° ≤ 2θ ≤ 80°), in order of rising 2θ:
2θ/deg, I_rel
12.84, 15
20.90, 38
27.85, 29
38.66, 100
40.38, 53
49.02, 12
58.43, 18
72.28, 31

Crystal structure
Cell lengths 4.467, 4.467, 13.786 Å; angles 90.00, 90.00, 90.00 degrees
Atoms (fractional coordinates):
1 Y 0.000 0.000 0.240
2 Y 0.000 0.000 0.760
3 Y 0.500 0.500 0.260
4 Y 0.500 0.500 0.740
5 U 0.000 0.000 0.500
6 U 0.500 0.500 0.000
7 Ru 0.000 0.500 0.103
8 Ru 0.000 0.500 0.397
9 Ru 0.000 0.500 0.603
10 Ru 0.000 0.500 0.897
11 Ru 0.500 0.000 0.103
12 Ru 0.500 0.000 0.397
13 Ru 0.500 0.000 0.603
14 Ru 0.500 0.000 0.897

(13)
Calculated powder diffraction line list
Compound: YU2Ru2
Radiation: Cu Ka
Structure: the GGA-PBE geometry in Alexandria

The 8 most intense peaks (10° ≤ 2θ ≤ 80°), in order of rising 2θ:
2θ/deg, I_rel
11.99, 100
33.41, 90
33.67, 55
35.89, 45
39.17, 27
41.85, 52
45.40, 27
50.81, 24

Crystal structure
Cell lengths 8.092, 8.092, 5.924 Å; angles 106.68, 106.68, 33.93 degrees
Atoms (fractional coordinates):
1 Y 0.213 0.787 0.750
2 Y 0.787 0.213 0.250
3 U 0.078 0.333 0.650
4 U 0.333 0.078 0.150
5 U 0.667 0.922 0.850
6 U 0.922 0.667 0.350
7 Ru 0.191 0.571 0.080
8 Ru 0.429 0.809 0.420
9 Ru 0.571 0.191 0.580
10 Ru 0.809 0.429 0.920